[1]
Na2Al2Si3O14: simulated XRD peak list (Cu Kα, 1.54184 Å), based on a PBE-relaxed structure.
Kinematic intensities with the Lorentz-polarization factor, no thermal factor.

Most intense lines, 10° ≤ 2θ ≤ 90°, most intense first:
h k l  two_theta  I_rel
3 5 1  30.3  100
3 1 1  20.0  95
1 1 1  14.7  90
5 3 1  30.8  60
2 0 2  28.2  57
4 0 0  19.1  55
2 2 0  13.2  53
1 7 1  35.5  43
1 5 1  27.1  37
2 2 2  29.7  32

Structure:
```
data_Na2Al2Si3O14
_cell_length_a 18.5644
_cell_length_b 19.3006
_cell_length_c 6.7316
_cell_angle_alpha 90.00
_cell_angle_beta 90.00
_cell_angle_gamma 90.00
_symmetry_space_group_name_H-M 'F d d 2'
_symmetry_Int_Tables_number 43
_symmetry_space_group_name_Hall 'F 2 -2d'
loop_
_atom_site_label
_atom_site_type_symbol
_atom_site_fract_x
_atom_site_fract_y
_atom_site_fract_z
Na1 Na 0.0414 0.2885 0.0000
Al1 Al 0.0941 0.4620 0.9477
Si1 Si 0.0000 0.0000 0.0663
Si2 Si 0.0409 0.0923 0.6941
O1 O 0.0251 0.1801 0.1878
O2 O 0.0286 0.0630 0.9204
O3 O 0.0319 0.3322 0.5984
O4 O 0.0347 0.4047 0.0706
O5 O 0.0674 0.4746 0.7015
O6 O 0.0690 0.1732 0.7059
O7 O 0.0996 0.0403 0.5877
```



[2]
Mg3Au: simulated XRD peak list (Cu Kα, 1.54184 Å), based on a PBE-relaxed structure.
Kinematic intensities with the Lorentz-polarization factor, no thermal factor.

Most intense lines, 10° ≤ 2θ ≤ 90°, most intense first:
h k l  two_theta  I_rel
1 0 1  24.2  100
1 0 3  38.5  63
1 1 0  38.2  53
0 0 2  20.8  40
1 1 2  43.9  36
1 0 0  21.8  28
2 1 3  69.3  23
2 0 3  55.4  22
2 0 1  45.7  19
1 1 4  58.3  17

Structure:
```
data_Mg3Au
_cell_length_a 4.7108
_cell_length_b 4.7108
_cell_length_c 8.5483
_cell_angle_alpha 90.00
_cell_angle_beta 90.00
_cell_angle_gamma 120.00
_symmetry_space_group_name_H-M 'P 63/m m c'
_symmetry_Int_Tables_number 194
_symmetry_space_group_name_Hall '-P 6c 2c'
loop_
_atom_site_label
_atom_site_type_symbol
_atom_site_fract_x
_atom_site_fract_y
_atom_site_fract_z
Mg1 Mg 0.0000 0.0000 0.2500
Mg2 Mg 0.3333 0.6667 0.0783
Au1 Au 0.3333 0.6667 0.7500
```



[3]
HoCuAs2: simulated XRD peak list (Cu Kα, 1.54184 Å), based on a PBE-relaxed structure.
Kinematic intensities with the Lorentz-polarization factor, no thermal factor.

Most intense lines, 10° ≤ 2θ ≤ 90°, most intense first:
h k l  two_theta  I_rel
1 1 2  37.4  100
2 0 0  46.6  34
1 0 3  35.8  26
1 0 1  24.6  23
3 1 2  80.3  21
1 0 5  52.2  16
1 0 2  29.3  15
0 0 4  36.6  15
2 0 4  60.7  13
2 1 5  72.5  12

Structure:
```
data_HoCuAs2
_cell_length_a 3.8973
_cell_length_b 3.8973
_cell_length_c 9.8182
_cell_angle_alpha 90.00
_cell_angle_beta 90.00
_cell_angle_gamma 90.00
_symmetry_space_group_name_H-M 'P 4/n m m'
_symmetry_Int_Tables_number 129
loop_
_symmetry_equiv_pos_as_xyz
'x,y,z'
'-x,-y,-z'
'-y+1/2,x,z'
'y+1/2,-x,-z'
'-x+1/2,-y+1/2,z'
'x+1/2,y+1/2,-z'
'y,-x+1/2,z'
'-y,x+1/2,-z'
'x+1/2,-y,-z'
'-x+1/2,y,z'
'-y,-x,-z'
'y,x,z'
'-x,y+1/2,-z'
'x,-y+1/2,z'
'y+1/2,x+1/2,-z'
'-y+1/2,-x+1/2,z'
loop_
_atom_site_label
_atom_site_type_symbol
_atom_site_fract_x
_atom_site_fract_y
_atom_site_fract_z
Ho1 Ho 0.2500 0.2500 0.2368
Cu1 Cu 0.2500 0.7500 0.5000
As1 As 0.2500 0.2500 0.6623
As2 As 0.2500 0.7500 0.0000
```



[4]
Zr9Pd11: simulated XRD peak list (Cu Kα, 1.54184 Å), based on a PBE-relaxed structure.
Kinematic intensities with the Lorentz-polarization factor, no thermal factor.

Most intense lines, 10° ≤ 2θ ≤ 90°, most intense first:
h k l  two_theta  I_rel
3 1 2  37.7  100
2 4 0  38.5  47
5 5 2  69.2  20
2 4 4  67.6  12
6 2 0  55.6  12
0 0 4  53.2  7
2 3 1  33.5  7
6 2 4  80.6  6
7 3 2  74.4  5
2 1 3  44.0  4

Structure:
```
data_Zr9Pd11
_cell_length_a 10.4517
_cell_length_b 10.4517
_cell_length_c 6.8810
_cell_angle_alpha 90.00
_cell_angle_beta 90.00
_cell_angle_gamma 90.00
_symmetry_space_group_name_H-M 'I 4/m'
_symmetry_Int_Tables_number 87
_symmetry_space_group_name_Hall '-I 4'
loop_
_atom_site_label
_atom_site_type_symbol
_atom_site_fract_x
_atom_site_fract_y
_atom_site_fract_z
Zr1 Zr 0.0000 0.0000 0.0000
Zr2 Zr 0.0847 0.7393 0.5000
Zr3 Zr 0.0948 0.6934 0.0000
Pd1 Pd 0.0000 0.0000 0.5000
Pd2 Pd 0.0000 0.5000 0.2500
Pd3 Pd 0.1127 0.2219 0.2128
```